Entry 1:
Computed X-ray powder pattern of CuC3N2O5 for Cu Kα, 1.54184 Å, from a DFT-relaxed cell (PBE, the Materials Project).
Kinematic intensities with the Lorentz-polarization factor, no thermal factor.

Top 10 peaks for 10° ≤ 2θ ≤ 90°, low angle first:
2θ = 10.7°, I = 72, hkl 0 0 1; 2θ = 13.9°, I = 59, hkl 1 0 0; 2θ = 15.0°, I = 100, hkl 0 1 -1; 2θ = 15.4°, I = 39, hkl 1 -1 0; 2θ = 16.4°, I = 66, hkl 1 0 -1; 2θ = 17.3°, I = 80, hkl 1 -1 1; 2θ = 27.6°, I = 98, hkl 1 1 -2; 2θ = 28.4°, I = 28, hkl -1 1 2; 2θ = 31.0°, I = 27, hkl 2 -2 0; 2θ = 31.2°, I = 43, hkl 2 -2 1

Structural model:
```
data_CuC3N2O5
_symmetry_space_group_name_H-M 'P -1'
_symmetry_Int_Tables_number 2
_symmetry_space_group_name_Hall '-P 1'
_cell_length_a 6.951
_cell_length_b 7.113
_cell_length_c 8.654
_cell_angle_alpha 105.43
_cell_angle_beta 90.65
_cell_angle_gamma 112.19
loop_
_atom_site_label
_atom_site_type_symbol
_atom_site_fract_x
_atom_site_fract_y
_atom_site_fract_z
_atom_site_occupancy
Cu1 Cu 0.111 0.181 0.160 1
C1 C 0.211 0.830 0.005 1
C2 C 0.217 0.191 0.840 1
C3 C 0.283 0.583 0.417 1
N1 N 0.180 0.713 0.434 1
N2 N 0.362 0.762 0.541 1
O1 O 0.135 0.054 0.720 1
O2 O 0.140 0.678 0.890 1
O3 O 0.301 0.418 0.341 1
O4 O 0.306 0.334 0.956 1
O5 O 0.313 0.962 0.124 1
```

Entry 2:
Computed X-ray powder pattern of EuAsS for Cu Kα, 1.54184 Å, from a DFT-relaxed cell (PBE, the Materials Project).
Kinematic intensities with the Lorentz-polarization factor, no thermal factor.

Top 10 peaks for 10° ≤ 2θ ≤ 90°, low angle first:
2θ = 24.1°, I = 56, hkl 2 0 1; 2θ = 24.9°, I = 61, hkl 2 1 0; 2θ = 30.0°, I = 86, hkl 6 0 0; 2θ = 31.9°, I = 29, hkl 0 1 1; 2θ = 33.5°, I = 100, hkl 2 1 1; 2θ = 37.9°, I = 97, hkl 4 1 1; 2θ = 44.8°, I = 24, hkl 0 0 2; 2θ = 46.6°, I = 28, hkl 0 2 0; 2θ = 56.4°, I = 28, hkl 6 2 0; 2θ = 61.6°, I = 27, hkl 10 1 1

Structural model:
```
data_EuAsS
_symmetry_space_group_name_H-M 'P n m a'
_symmetry_Int_Tables_number 62
_symmetry_space_group_name_Hall '-P 2ac 2n'
_cell_length_a 17.847
_cell_length_b 3.899
_cell_length_c 4.048
_cell_angle_alpha 90.00
_cell_angle_beta 90.00
_cell_angle_gamma 90.00
loop_
_atom_site_label
_atom_site_type_symbol
_atom_site_fract_x
_atom_site_fract_y
_atom_site_fract_z
_atom_site_occupancy
Eu1 Eu 0.157 0.250 0.218 1
As1 As 0.004 0.250 0.693 1
S1 S 0.182 0.750 0.721 1
```